[1]
This entry pairs a crystal structure of Sm3W2N6 with its simulated PXRD pattern. Radiation: copper Kα. Structure: a PBE-relaxed structure.
Neutral-atom scattering factors, no anomalous dispersion.

Structural model:
Cell: 3.986 3.986 19.256 Å, 90.00 90.00 90.00°
Space group I4/mmm (No. 139)
Asymmetric unit:
Sm: 0.000 0.000 0.000 (multiplicity 2)
Sm: 0.000 0.000 0.181 (multiplicity 4)
W: 0.000 0.000 0.403 (multiplicity 4)
N: 0.000 0.000 0.302 (multiplicity 4)
N: 0.000 0.500 0.086 (multiplicity 8)

Principal peaks in the range 10° ≤ 2θ ≤ 80°, sorted by position:
d_spacing, I_rel, (hkl)
2.819, 60.6, 1 1 0
2.770, 100.0, 1 0 5
2.264, 9.6, 1 0 7
1.993, 28.7, 2 0 0
1.618, 41.1, 2 1 5
1.590, 13.1, 1 1 10
1.409, 9.1, 2 2 0
1.385, 9.8, 2 0 10
1.261, 10.5, 3 1 0
1.256, 9.0, 3 0 5



[2]
This entry pairs a crystal structure of Pm6Nd4Th with its simulated PXRD pattern. Radiation: copper Kα. Structure: a PBE-relaxed structure.
Neutral-atom scattering factors, no anomalous dispersion.

Structural model:
Cell: 5.974 9.755 26.087 Å, 90.00 90.00 90.00°
Space group Cmcm (No. 63)
Asymmetric unit:
Pm: 0.000 0.000 0.000 (multiplicity 4)
Pm: 0.000 0.061 0.250 (multiplicity 4)
Pm: 0.000 0.296 0.603 (multiplicity 8)
Pm: 0.000 0.387 0.183 (multiplicity 8)
Nd: 0.000 0.054 0.123 (multiplicity 8)
Nd: 0.000 0.353 0.044 (multiplicity 8)
Th: 0.000 0.280 0.750 (multiplicity 4)

Principal peaks in the range 10° ≤ 2θ ≤ 80°, sorted by position:
d_spacing, I_rel, (hkl)
3.008, 85.6, 1 1 7
2.987, 100.0, 2 0 0
2.961, 72.6, 0 2 7
2.856, 79.4, 1 3 0
2.839, 92.4, 1 3 1
2.746, 71.2, 1 1 8
2.200, 19.5, 2 0 8
2.103, 55.4, 2 2 7
1.706, 18.2, 1 5 6
1.695, 20.3, 3 3 1



[3]
This entry pairs a crystal structure of Er7Cu3Te12 with its simulated PXRD pattern. Radiation: copper Kα. Structure: a PBE-relaxed structure.
Neutral-atom scattering factors, no anomalous dispersion.

Structural model:
Cell: 7.511 13.008 14.193 Å, 90.00 100.19 90.00°
Space group Cm (No. 8)
Asymmetric unit:
Er: 0.000 0.000 0.000 (multiplicity 2)
Er: 0.002 0.334 0.000 (multiplicity 4)
Er: 0.086 0.500 0.753 (multiplicity 2)
Er: 0.166 0.334 0.494 (multiplicity 4)
Er: 0.167 0.000 0.494 (multiplicity 2)
Cu: 0.270 0.167 0.307 (multiplicity 4)
Cu: 0.271 0.500 0.308 (multiplicity 2)
Te: 0.208 0.167 0.121 (multiplicity 4)
Te: 0.209 0.500 0.123 (multiplicity 2)
Te: 0.291 0.334 0.870 (multiplicity 4)
Te: 0.292 0.000 0.870 (multiplicity 2)
Te: 0.372 0.500 0.618 (multiplicity 2)
Te: 0.375 0.166 0.618 (multiplicity 4)
Te: 0.454 0.000 0.360 (multiplicity 2)
Te: 0.455 0.333 0.362 (multiplicity 4)

Principal peaks in the range 10° ≤ 2θ ≤ 80°, sorted by position:
d_spacing, I_rel, (hkl)
6.985, 17.6, 0 0 2
3.181, 100.0, 1 3 2
2.797, 24.3, 1 3 3
2.446, 14.3, 2 0 -5
2.341, 15.5, 1 3 -5
2.168, 54.9, 0 6 0
2.061, 27.4, 2 0 5
1.792, 19.3, 4 0 1
1.381, 16.2, 4 6 1
1.360, 17.0, 3 3 7



[4]
This entry pairs a crystal structure of PtRhN2 with its simulated PXRD pattern. Radiation: copper Kα. Structure: a PBE-relaxed structure.
Neutral-atom scattering factors, no anomalous dispersion.

Structural model:
Cell: 4.856 4.856 8.778 Å, 90.00 90.00 90.00°
Space group I-42d (No. 122)
Asymmetric unit:
Pt: 0.000 0.000 0.000 (multiplicity 4)
Rh: 0.000 0.000 0.500 (multiplicity 4)
N: 0.235 0.250 0.625 (multiplicity 8)

Principal peaks in the range 10° ≤ 2θ ≤ 80°, sorted by position:
d_spacing, I_rel, (hkl)
4.249, 11.5, 1 0 1
2.704, 100.0, 1 1 2
2.428, 30.5, 2 0 0
2.194, 11.5, 0 0 4
1.717, 14.8, 2 2 0
1.628, 24.9, 2 0 4
1.449, 29.5, 3 1 2
1.352, 10.2, 2 2 4
1.346, 11.5, 1 1 6
1.214, 5.0, 4 0 0



[5]
This entry pairs a crystal structure of Ba8Pt3AuBr4 with its simulated PXRD pattern. Radiation: copper Kα. Structure: a PBE-relaxed structure.
Neutral-atom scattering factors, no anomalous dispersion.

Structural model:
Cell: 9.1920 9.1920 25.0987 Å, 90.00 90.00 120.00°
Space group R-3m (No. 166, hexagonal axes)
Asymmetric unit:
Ba: 0.0000 0.0000 0.2372 (multiplicity 6)
Ba: 0.0088 0.5044 0.7615 (multiplicity 18)
Pt: 0.0000 0.5000 0.5000 (multiplicity 9)
Au: 0.0000 0.0000 0.5000 (multiplicity 3)
Br: 0.0000 0.0000 0.0000 (multiplicity 3)
Br: 0.0000 0.5000 0.0000 (multiplicity 9)

Principal peaks in the range 10° ≤ 2θ ≤ 80°, sorted by position:
d_spacing, I_rel, (hkl)
8.366, 26.5, 0 0 3
3.361, 100.0, 0 2 4
2.664, 11.4, 0 2 7
2.464, 37.9, 2 0 8
2.298, 36.8, 2 2 0
1.897, 19.7, 4 0 4
1.681, 11.7, 0 4 8
1.547, 14.3, 2 2 12
1.463, 16.8, 2 4 4
1.356, 11.5, 4 2 8



[6]
This entry pairs a crystal structure of Nd7Tl2Cd2 with its simulated PXRD pattern. Radiation: copper Kα. Structure: a PBE-relaxed structure.
Neutral-atom scattering factors, no anomalous dispersion.

Structural model:
Cell: 7.905 11.377 8.329 Å, 90.00 90.00 90.00°
Space group Cmmm (No. 65)
Asymmetric unit:
Nd: 0.000 0.000 0.000 (multiplicity 2)
Nd: 0.000 0.500 0.270 (multiplicity 4)
Nd: 0.250 0.250 0.292 (multiplicity 8)
Tl: 0.000 0.297 0.000 (multiplicity 4)
Cd: 0.173 0.000 0.500 (multiplicity 4)

Principal peaks in the range 10° ≤ 2θ ≤ 80°, sorted by position:
d_spacing, I_rel, (hkl)
3.571, 56.4, 2 0 1
3.505, 30.3, 1 1 2
3.246, 22.0, 2 2 0
3.163, 19.6, 1 3 1
2.867, 20.7, 2 0 2
2.844, 48.9, 0 4 0
2.643, 58.7, 1 3 2
2.561, 100.0, 2 2 2
2.495, 18.2, 0 2 3
2.094, 22.0, 3 3 1



[7]
This entry pairs a crystal structure of Hf2ZrFe with its simulated PXRD pattern. Radiation: copper Kα. Structure: a PBE-relaxed structure.
Neutral-atom scattering factors, no anomalous dispersion.

Structural model:
Cell: 3.293 10.897 8.713 Å, 90.00 90.00 90.00°
Space group Cmcm (No. 63)
Asymmetric unit:
Hf: 0.000 0.140 0.062 (multiplicity 8)
Zr: 0.000 0.428 0.250 (multiplicity 4)
Fe: 0.000 0.262 0.750 (multiplicity 4)

Principal peaks in the range 10° ≤ 2θ ≤ 80°, sorted by position:
d_spacing, I_rel, (hkl)
2.724, 35.0, 0 4 0
2.563, 100.0, 0 2 3
2.554, 84.6, 1 1 2
2.440, 58.9, 1 3 0
2.349, 48.7, 1 3 1
2.310, 37.0, 0 4 2
2.136, 57.9, 1 1 3
2.129, 37.0, 1 3 2
1.540, 42.7, 1 5 3
1.408, 33.3, 1 7 0



[8]
This entry pairs a crystal structure of Tm3Mg2C with its simulated PXRD pattern. Radiation: copper Kα. Structure: a PBE-relaxed structure.
Neutral-atom scattering factors, no anomalous dispersion.

Structural model:
Cell: 5.030 16.303 3.427 Å, 90.00 90.00 90.00°
Space group Cmmm (No. 65)
Asymmetric unit:
Tm: 0.000 0.000 0.000 (multiplicity 2)
Tm: 0.000 0.396 0.500 (multiplicity 4)
Mg: 0.000 0.201 0.000 (multiplicity 4)
C: 0.000 0.500 0.000 (multiplicity 2)

Principal peaks in the range 10° ≤ 2θ ≤ 80°, sorted by position:
d_spacing, I_rel, (hkl)
8.151, 81.4, 0 2 0
3.691, 30.5, 1 3 0
2.790, 100.0, 1 1 1
2.736, 72.2, 1 5 0
2.623, 51.5, 0 4 1
2.515, 31.2, 2 0 0
2.129, 22.6, 0 6 1
1.815, 34.6, 2 4 1
1.526, 19.9, 1 9 1
1.452, 21.1, 1 5 2



[9]
This entry pairs a crystal structure of Ag3SBr with its simulated PXRD pattern. Radiation: copper Kα. Structure: a PBE-relaxed structure.
Neutral-atom scattering factors, no anomalous dispersion.

Structural model:
Cell: 9.772 9.636 9.799 Å, 90.00 90.00 90.00°
Space group Cmcm (No. 63)
Asymmetric unit:
Ag: 0.000 0.212 0.045 (multiplicity 8)
Ag: 0.169 0.500 0.000 (multiplicity 8)
Ag: 0.216 0.201 0.750 (multiplicity 8)
S: 0.250 0.250 0.000 (multiplicity 8)
Br: 0.000 0.001 0.250 (multiplicity 4)
Br: 0.000 0.491 0.750 (multiplicity 4)

Principal peaks in the range 10° ≤ 2θ ≤ 80°, sorted by position:
d_spacing, I_rel, (hkl)
3.051, 17.8, 1 3 0
2.947, 30.1, 1 1 3
2.810, 100.0, 2 2 2
2.611, 25.9, 3 1 2
2.450, 33.5, 0 0 4
2.409, 23.1, 0 4 0
1.991, 21.4, 4 2 2
1.717, 15.6, 0 4 4
1.653, 15.4, 5 1 3
1.571, 15.0, 3 5 2



[10]
This entry pairs a crystal structure of Cs4HBr3 with its simulated PXRD pattern. Radiation: copper Kα. Structure: a PBE-relaxed structure.
Neutral-atom scattering factors, no anomalous dispersion.

Structural model:
Cell: 10.218 14.408 5.100 Å, 90.00 90.00 90.00°
Space group Cmmm (No. 65)
Asymmetric unit:
Cs: 0.000 0.239 0.000 (multiplicity 4)
Cs: 0.236 0.000 0.500 (multiplicity 4)
H: 0.000 0.000 0.000 (multiplicity 2)
Br: 0.000 0.500 0.000 (multiplicity 2)
Br: 0.250 0.250 0.500 (multiplicity 4)

Principal peaks in the range 10° ≤ 2θ ≤ 80°, sorted by position:
d_spacing, I_rel, (hkl)
4.165, 22.8, 0 2 1
3.607, 100.0, 2 0 1
2.551, 77.0, 0 0 2
2.175, 11.0, 2 2 2
2.083, 27.6, 0 4 2
1.805, 8.8, 4 0 2
1.614, 24.2, 2 0 3
1.612, 11.4, 2 8 1
1.473, 21.6, 2 4 3
1.202, 10.8, 0 4 4



[11]
This entry pairs a crystal structure of CuSn2SeS3 with its simulated PXRD pattern. Radiation: copper Kα. Structure: a PBE-relaxed structure.
Neutral-atom scattering factors, no anomalous dispersion.

Structural model:
Cell: 7.6559 7.6559 18.8537 Å, 90.00 90.00 120.00°
Space group R-3m (No. 166, hexagonal axes)
Asymmetric unit:
Cu: 0.0000 0.0000 0.1057 (multiplicity 6)
Sn: 0.0000 0.0000 0.5000 (multiplicity 3)
Sn: 0.0000 0.5000 0.0000 (multiplicity 9)
Se: 0.0000 0.0000 0.2446 (multiplicity 6)
S: 0.0027 0.5013 0.2540 (multiplicity 18)

Principal peaks in the range 10° ≤ 2θ ≤ 80°, sorted by position:
d_spacing, I_rel, (hkl)
6.267, 39.2, 0 0 3
3.828, 25.0, 1 1 0
3.272, 100.0, 0 1 5
3.265, 38.3, 0 2 1
2.712, 97.7, 0 2 4
2.086, 40.2, 1 2 5
1.921, 56.4, 2 0 8
1.914, 64.5, 2 2 0
1.564, 18.2, 4 0 4
1.214, 20.4, 2 2 12



[12]
This entry pairs a crystal structure of LiMg6BO8 with its simulated PXRD pattern. Radiation: copper Kα. Structure: a PBE-relaxed structure.
Neutral-atom scattering factors, no anomalous dispersion.

Structural model:
Cell: 4.277 4.277 8.104 Å, 90.00 90.00 90.00°
Space group P4/mmm (No. 123)
Asymmetric unit:
Li: 0.000 0.000 0.000 (multiplicity 1)
Mg: 0.000 0.500 0.254 (multiplicity 4)
Mg: 0.500 0.500 0.000 (multiplicity 1)
Mg: 0.500 0.500 0.500 (multiplicity 1)
B: 0.000 0.000 0.500 (multiplicity 1)
O: 0.000 0.000 0.322 (multiplicity 2)
O: 0.000 0.500 0.000 (multiplicity 2)
O: 0.000 0.500 0.500 (multiplicity 2)
O: 0.500 0.500 0.250 (multiplicity 2)

Principal peaks in the range 10° ≤ 2θ ≤ 80°, sorted by position:
d_spacing, I_rel, (hkl)
8.104, 9.5, 0 0 1
4.277, 10.7, 1 0 0
2.424, 8.0, 1 1 2
2.139, 100.0, 2 0 0
2.026, 31.1, 0 0 4
1.831, 8.1, 1 0 4
1.683, 5.8, 1 1 4
1.512, 27.6, 2 2 0
1.471, 38.1, 2 0 4
1.212, 17.9, 2 2 4